Diffraction record for Ni2RuW. The X-ray powder pattern is theoretical, not measured: it uses a structure optimized by DFT (PBE) and Cu Kα (λ = 1.5418 Å).

Most intense lines, 2θ from 10° to 80°, in order of rising 2θ:
d [Å]	I/Imax
3.792	30.5
2.167	100.0
2.137	95.9
1.896	33.1
1.848	60.9
1.323	39.3

Structural model:
```
data_Ni2RuW
_chemical_formula_sum 'Ni2 Ru1 W1'
_space_group_name_H-M_alt 'P 1'
_space_group_IT_number 1
_space_group_name_Hall 'P 1'
_cell_length_a 2.641
_cell_length_b 3.792
_cell_length_c 5.175
_cell_angle_alpha 90.00
_cell_angle_beta 90.00
_cell_angle_gamma 90.00
loop_
_atom_site_label
_atom_site_type_symbol
_atom_site_fract_x
_atom_site_fract_y
_atom_site_fract_z
Ni1 Ni 0.000 0.000 0.247
Ni2 Ni 0.000 0.000 0.753
Ru1 Ru 0.500 0.500 0.000
W1 W 0.500 0.500 0.500
```


Diffraction record for CsSrPrI6. The X-ray powder pattern is theoretical, not measured: it uses a structure optimized by DFT (PBE) and Cu Kα (λ = 1.5418 Å).

Most intense lines, 2θ from 10° to 80°, in order of rising 2θ:
d [Å]	I/Imax
5.502	48.7
3.761	100.0
2.971	79.8
2.616	30.6
2.429	39.5
2.330	30.1

Structural model:
```
data_CsSrPrI6
_chemical_formula_sum 'Cs2 Sr2 Pr2 I12'
_space_group_name_H-M_alt 'P 1'
_space_group_IT_number 1
_space_group_name_Hall 'P 1'
_cell_length_a 8.416
_cell_length_b 8.416
_cell_length_c 16.779
_cell_angle_alpha 90.00
_cell_angle_beta 90.00
_cell_angle_gamma 120.00
loop_
_atom_site_label
_atom_site_type_symbol
_atom_site_fract_x
_atom_site_fract_y
_atom_site_fract_z
Cs1 Cs 0.000 0.000 0.000
Cs2 Cs 0.000 0.000 0.500
Sr1 Sr 0.333 0.667 0.250
Sr2 Sr 0.667 0.333 0.750
Pr1 Pr 0.333 0.667 0.750
Pr2 Pr 0.667 0.333 0.250
I1 I 0.013 0.382 0.639
I2 I 0.013 0.630 0.861
I3 I 0.370 0.382 0.861
I4 I 0.370 0.987 0.639
I5 I 0.382 0.013 0.139
I6 I 0.382 0.370 0.361
I7 I 0.618 0.630 0.639
I8 I 0.618 0.987 0.861
I9 I 0.630 0.013 0.361
I10 I 0.630 0.618 0.139
I11 I 0.987 0.370 0.139
I12 I 0.987 0.618 0.361
```


Diffraction record for Ce2Y3ErS6. The X-ray powder pattern is theoretical, not measured: it uses a structure optimized by DFT (PBE) and Cu Kα (λ = 1.5418 Å).

Most intense lines, 2θ from 10° to 80°, in order of rising 2θ:
d [Å]	I/Imax
3.237	15.4
3.212	30.2
2.790	100.0
1.975	23.7
1.970	23.4
1.680	17.1

Structural model:
```
data_Ce2Y3ErS6
_chemical_formula_sum 'Ce2 Y3 Er1 S6'
_space_group_name_H-M_alt 'P 1'
_space_group_IT_number 1
_space_group_name_Hall 'P 1'
_cell_length_a 8.826
_cell_length_b 8.826
_cell_length_c 7.929
_cell_angle_alpha 103.19
_cell_angle_beta 103.19
_cell_angle_gamma 25.73
loop_
_atom_site_label
_atom_site_type_symbol
_atom_site_fract_x
_atom_site_fract_y
_atom_site_fract_z
Ce1 Ce 0.168 0.168 0.336
Ce2 Ce 0.832 0.832 0.664
Y1 Y 0.168 0.168 0.832
Y2 Y 0.500 0.500 0.500
Y3 Y 0.832 0.832 0.168
Er1 Er 0.500 0.500 0.000
S1 S 0.002 0.002 0.755
S2 S 0.335 0.335 0.924
S3 S 0.336 0.336 0.410
S4 S 0.664 0.664 0.590
S5 S 0.665 0.665 0.076
S6 S 0.998 0.998 0.245
```


Diffraction record for Pr3NpO7. The X-ray powder pattern is theoretical, not measured: it uses a structure optimized by DFT (PBE) and Cu Kα (λ = 1.5418 Å).

Most intense lines, 2θ from 10° to 80°, in order of rising 2θ:
d [Å]	I/Imax
3.252	100.0
3.210	97.2
2.798	69.8
1.978	60.5
1.697	31.3
1.679	27.5

Structural model:
```
data_Pr3NpO7
_chemical_formula_sum 'Pr6 Np2 O14'
_space_group_name_H-M_alt 'P 1'
_space_group_IT_number 1
_space_group_name_Hall 'P 1'
_cell_length_a 6.826
_cell_length_b 6.826
_cell_length_c 7.998
_cell_angle_alpha 90.00
_cell_angle_beta 90.00
_cell_angle_gamma 109.86
loop_
_atom_site_label
_atom_site_type_symbol
_atom_site_fract_x
_atom_site_fract_y
_atom_site_fract_z
Pr1 Pr 0.000 0.000 0.000
Pr2 Pr 0.000 0.000 0.500
Pr3 Pr 0.033 0.502 0.750
Pr4 Pr 0.498 0.967 0.750
Pr5 Pr 0.502 0.033 0.250
Pr6 Pr 0.967 0.498 0.250
Np1 Np 0.500 0.500 0.000
Np2 Np 0.500 0.500 0.500
O1 O 0.131 0.869 0.250
O2 O 0.133 0.867 0.750
O3 O 0.174 0.420 0.028
O4 O 0.174 0.420 0.472
O5 O 0.417 0.583 0.750
O6 O 0.420 0.174 0.528
O7 O 0.420 0.174 0.972
O8 O 0.580 0.826 0.028
O9 O 0.580 0.826 0.472
O10 O 0.583 0.417 0.250
O11 O 0.826 0.580 0.528
O12 O 0.826 0.580 0.972
O13 O 0.867 0.133 0.250
O14 O 0.869 0.131 0.750
```


Diffraction record for CoAsIN2. The X-ray powder pattern is theoretical, not measured: it uses a structure optimized by DFT (PBE) and Cu Kα (λ = 1.5418 Å).

Most intense lines, 2θ from 10° to 80°, in order of rising 2θ:
d [Å]	I/Imax
7.465	65.7
3.732	100.0
2.630	72.6
2.479	42.5
2.149	57.2
1.663	41.1

Structural model:
```
data_CoAsIN2
_chemical_formula_sum 'Co1 As1 I1 N2'
_space_group_name_H-M_alt 'P 1'
_space_group_IT_number 1
_space_group_name_Hall 'P 1'
_cell_length_a 3.717
_cell_length_b 3.717
_cell_length_c 7.465
_cell_angle_alpha 90.00
_cell_angle_beta 90.00
_cell_angle_gamma 90.00
loop_
_atom_site_label
_atom_site_type_symbol
_atom_site_fract_x
_atom_site_fract_y
_atom_site_fract_z
Co1 Co 0.000 0.000 0.000
As1 As 0.500 0.500 0.500
I1 I 0.000 0.000 0.500
N1 N 0.000 0.500 0.000
N2 N 0.500 0.000 0.000
```


Diffraction record for Sr2TmOs3O12. The X-ray powder pattern is theoretical, not measured: it uses a structure optimized by DFT (PBE) and Cu Kα (λ = 1.5418 Å).

Most intense lines, 2θ from 10° to 80°, in order of rising 2θ:
d [Å]	I/Imax
5.885	72.0
3.111	75.7
3.003	95.4
2.943	100.0
2.816	38.7
1.832	72.4

Structural model:
```
data_Sr2TmOs3O12
_chemical_formula_sum 'Sr2 Tm1 Os3 O12'
_space_group_name_H-M_alt 'P 1'
_space_group_IT_number 1
_space_group_name_Hall 'P 1'
_cell_length_a 6.733
_cell_length_b 6.733
_cell_length_c 6.733
_cell_angle_alpha 65.95
_cell_angle_beta 65.95
_cell_angle_gamma 65.95
loop_
_atom_site_label
_atom_site_type_symbol
_atom_site_fract_x
_atom_site_fract_y
_atom_site_fract_z
Sr1 Sr 0.119 0.119 0.119
Sr2 Sr 0.881 0.881 0.881
Tm1 Tm 0.500 0.500 0.500
Os1 Os 0.000 0.500 0.500
Os2 Os 0.500 0.000 0.500
Os3 Os 0.500 0.500 0.000
O1 O 0.094 0.633 0.633
O2 O 0.215 0.215 0.613
O3 O 0.215 0.613 0.215
O4 O 0.367 0.367 0.906
O5 O 0.367 0.906 0.367
O6 O 0.387 0.785 0.785
O7 O 0.613 0.215 0.215
O8 O 0.633 0.094 0.633
O9 O 0.633 0.633 0.094
O10 O 0.785 0.387 0.785
O11 O 0.785 0.785 0.387
O12 O 0.906 0.367 0.367
```


Diffraction record for Tb2Sm3Th3. The X-ray powder pattern is theoretical, not measured: it uses a structure optimized by DFT (PBE) and Cu Kα (λ = 1.5418 Å).

Most intense lines, 2θ from 10° to 80°, in order of rising 2θ:
d [Å]	I/Imax
2.931	100.0
2.552	17.2
2.538	16.9
2.527	16.7
1.537	14.8
1.530	14.5

Structural model:
```
data_Tb2Sm3Th3
_chemical_formula_sum 'Tb2 Sm3 Th3'
_space_group_name_H-M_alt 'P 1'
_space_group_IT_number 1
_space_group_name_Hall 'P 1'
_cell_length_a 5.054
_cell_length_b 5.103
_cell_length_c 10.151
_cell_angle_alpha 90.00
_cell_angle_beta 90.00
_cell_angle_gamma 90.00
loop_
_atom_site_label
_atom_site_type_symbol
_atom_site_fract_x
_atom_site_fract_y
_atom_site_fract_z
Tb1 Tb 0.000 0.000 0.247
Tb2 Tb 0.000 0.000 0.753
Sm1 Sm 0.000 0.500 0.500
Sm2 Sm 0.500 0.000 0.000
Sm3 Sm 0.500 0.000 0.500
Th1 Th 0.000 0.500 0.000
Th2 Th 0.500 0.500 0.247
Th3 Th 0.500 0.500 0.753
```


Diffraction record for Ho6BiTe2. The X-ray powder pattern is theoretical, not measured: it uses a structure optimized by DFT (PBE) and Cu Kα (λ = 1.5418 Å).

Most intense lines, 2θ from 10° to 80°, in order of rising 2θ:
d [Å]	I/Imax
3.109	56.0
2.998	89.2
2.842	35.9
2.747	100.0
2.365	55.0
2.158	40.9

Structural model:
```
data_Ho6BiTe2
_chemical_formula_sum 'Ho6 Bi1 Te2'
_space_group_name_H-M_alt 'P 1'
_space_group_IT_number 1
_space_group_name_Hall 'P 1'
_cell_length_a 7.159
_cell_length_b 7.159
_cell_length_c 9.288
_cell_angle_alpha 127.32
_cell_angle_beta 127.32
_cell_angle_gamma 49.52
loop_
_atom_site_label
_atom_site_type_symbol
_atom_site_fract_x
_atom_site_fract_y
_atom_site_fract_z
Ho1 Ho 0.054 0.054 0.224
Ho2 Ho 0.324 0.324 0.860
Ho3 Ho 0.417 0.417 0.585
Ho4 Ho 0.583 0.583 0.415
Ho5 Ho 0.676 0.676 0.140
Ho6 Ho 0.946 0.946 0.776
Bi1 Bi 0.000 0.000 0.500
Te1 Te 0.255 0.255 0.140
Te2 Te 0.745 0.745 0.860
```